# LiV2P4H2O16
Computed powder X-ray diffraction pattern, Cu Kα (weighted mean of Kα1 and Kα2). Input: a crystal structure in the Materials Project, relaxed with PBE+U.

Cell: 7.7577 7.8912 9.7563 Å, 90.00 113.22 90.00°
Fractional positions:
Li  0.0989  0.0000  0.2261
Li  0.9011  0.5000  0.7739
V  0.2547  0.3742  0.2527
V  0.2626  0.3623  0.7512
V  0.7374  0.8623  0.2488
V  0.7453  0.8742  0.7473
P  0.0121  0.7131  0.0688
P  0.0163  0.7189  0.5717
P  0.4772  0.0103  0.9299
P  0.4826  0.0241  0.4309
P  0.5174  0.5241  0.5691
P  0.5228  0.5103  0.0701
P  0.9837  0.2189  0.4283
P  0.9879  0.2131  0.9312
H  0.2355  0.8625  0.0108
H  0.2406  0.8577  0.5124
H  0.7594  0.3577  0.4876
H  0.7645  0.3625  0.9892
O  0.0652  0.5415  0.6466
O  0.0668  0.5390  0.1393
O  0.0967  0.3165  0.8542
O  0.0993  0.3122  0.3545
O  0.1107  0.1939  0.0995
O  0.1112  0.2063  0.5988
O  0.1900  0.8216  0.0976
O  0.1985  0.8138  0.5963
O  0.2999  0.9177  0.9089
O  0.3042  0.9261  0.4047
O  0.3859  0.5411  0.4036
O  0.3885  0.5287  0.9011
O  0.3982  0.4251  0.6456
O  0.4052  0.4274  0.1473
O  0.4255  0.1951  0.8604
O  0.4369  0.1990  0.3580
O  0.5631  0.6990  0.6420
O  0.5745  0.6951  0.1396
O  0.5948  0.9274  0.8527
O  0.6018  0.9251  0.3544
O  0.6115  0.0287  0.0989
O  0.6141  0.0411  0.5964
O  0.6958  0.4261  0.5953
O  0.7001  0.4177  0.0911
O  0.8015  0.3138  0.4037
O  0.8100  0.3216  0.9024
O  0.8893  0.6939  0.9005
O  0.8888  0.7063  0.4012
O  0.9007  0.8122  0.6455
O  0.9033  0.8165  0.1458
O  0.9332  0.0390  0.8607
O  0.9348  0.0415  0.3534

Principal peaks in the range 2θ = 10–90°, by intensity:
25.04 deg, I 100
29.65 deg, I 81
16.76 deg, I 76
25.81 deg, I 68
22.81 deg, I 59
33.89 deg, I 49
29.49 deg, I 34
30.17 deg, I 25
27.52 deg, I 22
22.53 deg, I 19

# MnB2F8
Computed powder X-ray diffraction pattern, Cu Kα (weighted mean of Kα1 and Kα2). Input: a crystal structure in the Materials Project, relaxed with PBE+U.

Cell: 8.7211 5.5609 11.1206 Å, 90.00 90.00 90.00°
Fractional positions:
Mn  0.2473  0.2500  0.1014
Mn  0.2527  0.7500  0.6014
Mn  0.7473  0.2500  0.3986
Mn  0.7527  0.7500  0.8986
B  0.0057  0.7500  0.1545
B  0.1459  0.2500  0.4067
B  0.3541  0.7500  0.9067
B  0.4943  0.2500  0.6545
B  0.5057  0.7500  0.3455
B  0.6459  0.2500  0.0933
B  0.8541  0.7500  0.5933
B  0.9943  0.2500  0.8455
F  0.0064  0.7500  0.6405
F  0.0682  0.2500  0.9598
F  0.0969  0.2500  0.7521
F  0.1030  0.5424  0.1601
F  0.1030  0.9576  0.1601
F  0.1658  0.0411  0.4782
F  0.1658  0.4589  0.4782
F  0.2465  0.7500  0.8120
F  0.2535  0.2500  0.3120
F  0.3342  0.5411  0.9782
F  0.3342  0.9589  0.9782
F  0.3970  0.0424  0.6601
F  0.3970  0.4576  0.6601
F  0.4031  0.7500  0.2521
F  0.4318  0.7500  0.4598
F  0.4936  0.2500  0.1405
F  0.5064  0.7500  0.8595
F  0.5682  0.2500  0.5402
F  0.5969  0.2500  0.7479
F  0.6030  0.5424  0.3399
F  0.6030  0.9576  0.3399
F  0.6658  0.0411  0.0218
F  0.6658  0.4589  0.0218
F  0.7465  0.7500  0.6880
F  0.7535  0.2500  0.1880
F  0.8342  0.5411  0.5218
F  0.8342  0.9589  0.5218
F  0.8970  0.0424  0.8399
F  0.8970  0.4576  0.8399
F  0.9031  0.7500  0.2479
F  0.9318  0.7500  0.0402
F  0.9936  0.2500  0.3595

Principal peaks in the range 2θ = 10–90°, by intensity:
27.20 deg, I 100
24.84 deg, I 97
45.12 deg, I 68
18.93 deg, I 62
28.95 deg, I 61
20.56 deg, I 44
17.83 deg, I 43
25.97 deg, I 42
45.42 deg, I 40
53.40 deg, I 39

# Li4Nb2Fe3Te3O16
Computed powder X-ray diffraction pattern, Cu Kα (weighted mean of Kα1 and Kα2). Input: a crystal structure in the Materials Project, relaxed with PBE+U.

Cell: 6.3625 6.3876 10.1364 Å, 89.50 89.30 61.11°
Fractional positions:
Li  0.0000  0.0000  0.0000
Li  0.0126  0.0213  0.5261
Li  0.3184  0.3272  0.6121
Li  0.6581  0.6480  0.0922
Nb  0.3267  0.3250  0.0014
Nb  0.6364  0.6356  0.5235
Fe  0.1626  0.1380  0.2960
Fe  0.3258  0.8179  0.7945
Fe  0.8151  0.3265  0.7930
Te  0.1261  0.6300  0.3061
Te  0.6489  0.1622  0.2726
Te  0.8100  0.8118  0.7846
O  0.0015  0.0009  0.7062
O  0.0298  0.4765  0.1719
O  0.1661  0.1733  0.9244
O  0.1907  0.6400  0.9332
O  0.2732  0.3396  0.4093
O  0.3511  0.8435  0.4318
O  0.4868  0.0326  0.1600
O  0.4952  0.4458  0.1605
O  0.5009  0.5190  0.6539
O  0.5337  0.9481  0.6645
O  0.6269  0.1873  0.9185
O  0.6457  0.6530  0.8910
O  0.8189  0.3455  0.4286
O  0.8408  0.7829  0.4175
O  0.9431  0.5314  0.6638
O  0.9579  0.0384  0.1829

Principal peaks in the range 2θ = 10–90°, by intensity:
18.12 deg, I 100
33.26 deg, I 88
17.50 deg, I 76
30.87 deg, I 56
18.48 deg, I 47
33.44 deg, I 45
18.27 deg, I 40
56.81 deg, I 36
41.86 deg, I 32
42.20 deg, I 31

# ZrMn2H12O6F8
Computed powder X-ray diffraction pattern, Cu Kα (weighted mean of Kα1 and Kα2). Input: a crystal structure in the Materials Project, relaxed with PBE+U.

Cell: 6.9881 6.9881 12.5616 Å, 107.34 107.34 71.99°
Fractional positions:
Zr  0.2330  0.7670  0.7500
Zr  0.7670  0.2330  0.2500
Mn  0.0715  0.2928  0.7098
Mn  0.2928  0.0715  0.2098
Mn  0.7072  0.9285  0.7902
Mn  0.9285  0.7072  0.2902
H  0.0866  0.4524  0.1131
H  0.1072  0.1540  0.4870
H  0.1230  0.6705  0.1249
H  0.1540  0.1072  0.9870
H  0.1974  0.3555  0.5534
H  0.2590  0.6505  0.4680
H  0.3295  0.8770  0.3751
H  0.3438  0.5391  0.3550
H  0.3495  0.7410  0.0320
H  0.3555  0.1974  0.0534
H  0.4524  0.0866  0.6131
H  0.4609  0.6562  0.1450
H  0.5391  0.3438  0.8550
H  0.5476  0.9134  0.3869
H  0.6445  0.8026  0.9466
H  0.6505  0.2590  0.9680
H  0.6562  0.4609  0.6450
H  0.6705  0.1230  0.6249
H  0.7410  0.3495  0.5320
H  0.8026  0.6445  0.4466
H  0.8460  0.8928  0.0130
H  0.8770  0.3295  0.8751
H  0.8928  0.8460  0.5130
H  0.9134  0.5476  0.8869
O  0.0308  0.6029  0.1396
O  0.1831  0.2229  0.5621
O  0.2229  0.1831  0.0621
O  0.2588  0.6703  0.3925
O  0.3297  0.7412  0.1075
O  0.3971  0.9692  0.3604
O  0.6029  0.0308  0.6396
O  0.6703  0.2588  0.8925
O  0.7412  0.3297  0.6075
O  0.7771  0.8169  0.9379
O  0.8169  0.7771  0.4379
O  0.9692  0.3971  0.8604
F  0.0244  0.9645  0.6408
F  0.0355  0.9756  0.8592
F  0.0434  0.3370  0.2871
F  0.2292  0.5890  0.5787
F  0.3181  0.4547  0.7738
F  0.3370  0.0434  0.7871
F  0.4110  0.7708  0.9213
F  0.4547  0.3181  0.2738
F  0.5453  0.6819  0.7262
F  0.5890  0.2292  0.0787
F  0.6630  0.9566  0.2129
F  0.6819  0.5453  0.2262
F  0.7708  0.4110  0.4213
F  0.9566  0.6630  0.7129
F  0.9645  0.0244  0.1408
F  0.9756  0.0355  0.3592

Principal peaks in the range 2θ = 10–90°, by intensity:
15.17 deg, I 100
14.06 deg, I 50
26.07 deg, I 38
23.85 deg, I 24
37.87 deg, I 17
13.68 deg, I 16
29.37 deg, I 14
43.05 deg, I 13
44.48 deg, I 12
22.95 deg, I 11

# Li9Mn2Co5O16
Computed powder X-ray diffraction pattern, Cu Kα (weighted mean of Kα1 and Kα2). Input: a crystal structure in the Materials Project, relaxed with PBE+U.

Cell: 2.9582 9.8546 10.1018 Å, 78.88 87.13 86.95°
Fractional positions:
Li  0.0000  0.0000  0.0000
Li  0.0021  0.5042  0.7504
Li  0.4846  0.4940  0.4920
Li  0.4994  0.4964  0.0011
Li  0.5013  0.0027  0.7503
Li  0.5040  0.0017  0.2454
Li  0.5101  0.2590  0.3730
Li  0.9872  0.0025  0.4926
Li  0.9954  0.4907  0.2538
Mn  0.9929  0.2509  0.6180
Mn  0.9954  0.7478  0.8761
Co  0.0017  0.2482  0.1332
Co  0.4872  0.2468  0.8760
Co  0.4958  0.7485  0.6233
Co  0.5016  0.7504  0.1234
Co  0.9960  0.7531  0.3704
O  0.0029  0.3690  0.4525
O  0.0141  0.8649  0.6890
O  0.0207  0.3567  0.9458
O  0.0326  0.8648  0.1846
O  0.4621  0.6272  0.8113
O  0.4678  0.3542  0.6894
O  0.4761  0.1389  0.0550
O  0.4912  0.6386  0.3055
O  0.5083  0.8698  0.4342
O  0.5190  0.1407  0.5690
O  0.5277  0.3648  0.1790
O  0.5279  0.8663  0.9433
O  0.9638  0.1370  0.8070
O  0.9680  0.6348  0.0596
O  0.9830  0.6361  0.5621
O  0.9953  0.1343  0.2888

Principal peaks in the range 2θ = 10–90°, by intensity:
18.37 deg, I 100
41.70 deg, I 33
44.17 deg, I 26
44.67 deg, I 26
34.70 deg, I 18
62.53 deg, I 16
36.28 deg, I 13
36.72 deg, I 12
62.98 deg, I 8
62.19 deg, I 8

# Fe2O3
Computed powder X-ray diffraction pattern, Cu Kα (weighted mean of Kα1 and Kα2). Input: a crystal structure in the Materials Project, relaxed with PBE+U.

Cell: 5.1426 5.3833 14.9016 Å, 89.61 89.99 89.83°
Fractional positions:
Fe  0.0000  0.0000  0.0000
Fe  0.9995  0.0551  0.2491
Fe  0.0030  0.1392  0.5043
Fe  0.0043  0.6290  0.8532
Fe  0.0053  0.0674  0.7523
Fe  0.0048  0.4975  0.3565
Fe  0.0055  0.5769  0.6070
Fe  0.0062  0.5534  0.1079
Fe  0.5002  0.1307  0.8544
Fe  0.5006  0.0007  0.3578
Fe  0.5009  0.0574  0.1088
Fe  0.5031  0.0767  0.6097
Fe  0.5032  0.5721  0.7470
Fe  0.5048  0.5607  0.2492
Fe  0.5047  0.6398  0.5029
Fe  0.5056  0.5017  0.0005
O  0.1463  0.4284  0.2250
O  0.1464  0.7228  0.7242
O  0.1501  0.9865  0.8749
O  0.1567  0.1491  0.3795
O  0.1977  0.8628  0.5499
O  0.1994  0.2745  0.0503
O  0.3016  0.7781  0.0498
O  0.3092  0.3621  0.5517
O  0.3496  0.2133  0.7253
O  0.3514  0.6473  0.3785
O  0.3561  0.4869  0.8759
O  0.3609  0.9266  0.2252
O  0.6387  0.7002  0.6289
O  0.6431  0.4268  0.1307
O  0.6557  0.9720  0.4799
O  0.6568  0.1494  0.9773
O  0.7055  0.8610  0.7995
O  0.7056  0.2757  0.3046
O  0.8056  0.7748  0.3053
O  0.8115  0.3519  0.8007
O  0.8499  0.6506  0.9768
O  0.8564  0.4712  0.4800
O  0.8612  0.9265  0.1308
O  0.8666  0.1983  0.6337

Principal peaks in the range 2θ = 10–90°, by intensity:
33.98 deg, I 100
34.15 deg, I 99
34.89 deg, I 47
33.29 deg, I 45
48.91 deg, I 44
62.08 deg, I 41
24.66 deg, I 23
61.47 deg, I 21
49.07 deg, I 21
60.21 deg, I 16

# Co2C2O7
Computed powder X-ray diffraction pattern, Cu Kα (weighted mean of Kα1 and Kα2). Input: a crystal structure in the Materials Project, relaxed with PBE+U.

Cell: 4.8894 4.8894 15.9336 Å, 90.84 90.84 119.89°
Fractional positions:
Co  0.1577  0.8290  0.8621
Co  0.1710  0.8423  0.6379
Co  0.8290  0.1577  0.3621
Co  0.8423  0.1710  0.1379
C  0.1646  0.8315  0.4029
C  0.1685  0.8354  0.0971
C  0.8315  0.1646  0.9029
C  0.8354  0.1685  0.5971
O  0.0893  0.1513  0.9068
O  0.0939  0.4367  0.5998
O  0.1513  0.0893  0.4068
O  0.1560  0.5636  0.0973
O  0.1665  0.8335  0.7500
O  0.4364  0.8440  0.4027
O  0.4367  0.0939  0.0998
O  0.5633  0.9061  0.9002
O  0.5636  0.1560  0.5973
O  0.8335  0.1665  0.2500
O  0.8440  0.4364  0.9027
O  0.8487  0.9107  0.5932
O  0.9061  0.5633  0.4002
O  0.9107  0.8487  0.0932

Principal peaks in the range 2θ = 10–90°, by intensity:
22.33 deg, I 100
20.97 deg, I 89
36.75 deg, I 30
21.84 deg, I 29
21.73 deg, I 28
21.56 deg, I 25
43.17 deg, I 19
38.69 deg, I 15
43.74 deg, I 14
30.41 deg, I 12